No. 1
Cd4CuPd: computed powder diffractogram (Cu Kα, 1.54184 Å), based on a cell relaxed with GGA-PBE.
Kinematic intensities with the Lorentz-polarization factor, no thermal factor.

Largest 8 diffraction maxima, in order of falling intensity, 5° ≤ 2θ ≤ 70°:
2θ = 39.60°, intensity 1000; 2θ = 39.38°, intensity 980; 2θ = 38.58°, intensity 972; 2θ = 38.13°, intensity 966; 2θ = 39.04°, intensity 888; 2θ = 41.56°, intensity 788; 2θ = 53.20°, intensity 304; 2θ = 39.85°, intensity 293

Structural model:
```
data_Cd4CuPd
_chemical_formula_sum 'Cd8 Cu2 Pd2'
_space_group_name_H-M_alt 'P 1'
_space_group_IT_number 1
_space_group_name_Hall 'P 1'
_cell_length_a 5.2984
_cell_length_b 6.8886
_cell_length_c 7.8755
_cell_angle_alpha 64.18
_cell_angle_beta 71.56
_cell_angle_gamma 70.29
loop_
_atom_site_label
_atom_site_type_symbol
_atom_site_fract_x
_atom_site_fract_y
_atom_site_fract_z
Cd1 Cd 0.0108 0.2953 0.4858
Cd2 Cd 0.2454 0.8773 0.0710
Cd3 Cd 0.2557 0.4137 0.0666
Cd4 Cd 0.4627 0.9179 0.3544
Cd5 Cd 0.5373 0.0821 0.6456
Cd6 Cd 0.7443 0.5863 0.9334
Cd7 Cd 0.7546 0.1227 0.9290
Cd8 Cd 0.9892 0.7047 0.5142
Cu1 Cu 0.4858 0.4919 0.3425
Cu2 Cu 0.5142 0.5081 0.6575
Pd1 Pd 0.1464 0.8357 0.7528
Pd2 Pd 0.8536 0.1643 0.2472
```



No. 2
CdCu3Pd5: computed powder diffractogram (Cu Kα, 1.54184 Å), based on a cell relaxed with GGA-PBE.
Kinematic intensities with the Lorentz-polarization factor, no thermal factor.

Largest 8 diffraction maxima, in order of falling intensity, 5° ≤ 2θ ≤ 70°:
2θ = 36.39°, intensity 1000; 2θ = 35.21°, intensity 612; 2θ = 43.58°, intensity 579; 2θ = 44.44°, intensity 413; 2θ = 43.80°, intensity 383; 2θ = 38.63°, intensity 331; 2θ = 25.20°, intensity 328; 2θ = 25.83°, intensity 284

Structural model:
```
data_CdCu3Pd5
_chemical_formula_sum 'Cd2 Cu6 Pd10'
_space_group_name_H-M_alt 'P 1'
_space_group_IT_number 1
_space_group_name_Hall 'P 1'
_cell_length_a 5.4632
_cell_length_b 5.4632
_cell_length_c 10.4332
_cell_angle_alpha 95.60
_cell_angle_beta 95.60
_cell_angle_gamma 80.62
loop_
_atom_site_label
_atom_site_type_symbol
_atom_site_fract_x
_atom_site_fract_y
_atom_site_fract_z
Cd1 Cd 0.0481 0.0481 0.2635
Cd2 Cd 0.9519 0.9519 0.7365
Cu1 Cu 0.0000 0.0000 0.0000
Cu2 Cu 0.0000 0.0000 0.5000
Cu3 Cu 0.2524 0.2524 0.8726
Cu4 Cu 0.3177 0.3177 0.4823
Cu5 Cu 0.6823 0.6823 0.5177
Cu6 Cu 0.7476 0.7476 0.1274
Pd1 Pd 0.0078 0.5839 0.3341
Pd2 Pd 0.2782 0.2782 0.1188
Pd3 Pd 0.3211 0.6789 0.0000
Pd4 Pd 0.4161 0.9922 0.6659
Pd5 Pd 0.4774 0.4774 0.7040
Pd6 Pd 0.5226 0.5226 0.2960
Pd7 Pd 0.5839 0.0078 0.3341
Pd8 Pd 0.6789 0.3211 0.0000
Pd9 Pd 0.7218 0.7218 0.8812
Pd10 Pd 0.9922 0.4161 0.6659
```



No. 3
Cd4CuPd: computed powder diffractogram (Cu Kα, 1.54184 Å), based on a cell relaxed with GGA-PBE.
Kinematic intensities with the Lorentz-polarization factor, no thermal factor.

Largest 8 diffraction maxima, in order of falling intensity, 5° ≤ 2θ ≤ 70°:
2θ = 34.60°, intensity 1000; 2θ = 43.15°, intensity 364; 2θ = 43.37°, intensity 362; 2θ = 38.36°, intensity 267; 2θ = 69.68°, intensity 202; 2θ = 59.96°, intensity 192; 2θ = 60.30°, intensity 186; 2θ = 38.60°, intensity 130

Structural model:
```
data_Cd4CuPd
_chemical_formula_sum 'Cd4 Cu1 Pd1'
_space_group_name_H-M_alt 'P 1'
_space_group_IT_number 1
_space_group_name_Hall 'P 1'
_cell_length_a 5.3977
_cell_length_b 5.3977
_cell_length_c 5.3977
_cell_angle_alpha 104.66
_cell_angle_beta 104.66
_cell_angle_gamma 119.60
loop_
_atom_site_label
_atom_site_type_symbol
_atom_site_fract_x
_atom_site_fract_y
_atom_site_fract_z
Cd1 Cd 0.0836 0.5836 0.1672
Cd2 Cd 0.4164 0.9164 0.8328
Cd3 Cd 0.5836 0.4164 0.5000
Cd4 Cd 0.9164 0.0836 0.5000
Cu1 Cu 0.0000 0.0000 0.0000
Pd1 Pd 0.5000 0.5000 0.0000
```



No. 4
CdCu7Pd12: computed powder diffractogram (Cu Kα, 1.54184 Å), based on a cell relaxed with GGA-PBE.
Kinematic intensities with the Lorentz-polarization factor, no thermal factor.

Largest 8 diffraction maxima, in order of falling intensity, 5° ≤ 2θ ≤ 70°:
2θ = 40.25°, intensity 1000; 2θ = 44.07°, intensity 163; 2θ = 29.94°, intensity 161; 2θ = 50.94°, intensity 143; 2θ = 34.71°, intensity 125; 2θ = 53.16°, intensity 89; 2θ = 57.27°, intensity 86; 2θ = 36.09°, intensity 70

Structural model:
```
data_CdCu7Pd12
_chemical_formula_sum 'Cd1 Cu7 Pd12'
_space_group_name_H-M_alt 'P 1'
_space_group_IT_number 1
_space_group_name_Hall 'P 1'
_cell_length_a 6.8963
_cell_length_b 6.8963
_cell_length_c 6.8963
_cell_angle_alpha 97.10
_cell_angle_beta 97.10
_cell_angle_gamma 97.10
loop_
_atom_site_label
_atom_site_type_symbol
_atom_site_fract_x
_atom_site_fract_y
_atom_site_fract_z
Cd1 Cd 0.0000 0.0000 0.0000
Cu1 Cu 0.0682 0.0682 0.3761
Cu2 Cu 0.0682 0.3761 0.0682
Cu3 Cu 0.3761 0.0682 0.0682
Cu4 Cu 0.5000 0.5000 0.5000
Cu5 Cu 0.6239 0.9318 0.9318
Cu6 Cu 0.9318 0.6239 0.9318
Cu7 Cu 0.9318 0.9318 0.6239
Pd1 Pd 0.1466 0.4371 0.4371
Pd2 Pd 0.2301 0.2301 0.7568
Pd3 Pd 0.2301 0.7568 0.2301
Pd4 Pd 0.2432 0.7699 0.7699
Pd5 Pd 0.4371 0.1466 0.4371
Pd6 Pd 0.4371 0.4371 0.1466
Pd7 Pd 0.5629 0.5629 0.8534
Pd8 Pd 0.5629 0.8534 0.5629
Pd9 Pd 0.7568 0.2301 0.2301
Pd10 Pd 0.7699 0.2432 0.7699
Pd11 Pd 0.7699 0.7699 0.2432
Pd12 Pd 0.8534 0.5629 0.5629
```



No. 5
Cd2Cu7Sb2Pd: computed powder diffractogram (Cu Kα, 1.54184 Å), based on a cell relaxed with GGA-PBE.
Kinematic intensities with the Lorentz-polarization factor, no thermal factor.

Largest 8 diffraction maxima, in order of falling intensity, 5° ≤ 2θ ≤ 70°:
2θ = 50.67°, intensity 1000; 2θ = 28.47°, intensity 970; 2θ = 35.68°, intensity 777; 2θ = 35.23°, intensity 670; 2θ = 39.91°, intensity 588; 2θ = 40.05°, intensity 586; 2θ = 42.09°, intensity 578; 2θ = 39.20°, intensity 574

Structural model:
```
data_Cd2Cu7Sb2Pd
_chemical_formula_sum 'Cd2 Cu7 Sb2 Pd1'
_space_group_name_H-M_alt 'P 1'
_space_group_IT_number 1
_space_group_name_Hall 'P 1'
_cell_length_a 3.6030
_cell_length_b 3.6030
_cell_length_c 16.0942
_cell_angle_alpha 96.22
_cell_angle_beta 96.22
_cell_angle_gamma 90.04
loop_
_atom_site_label
_atom_site_type_symbol
_atom_site_fract_x
_atom_site_fract_y
_atom_site_fract_z
Cd1 Cd 0.1251 0.1251 0.2549
Cd2 Cd 0.8749 0.8749 0.7451
Cu1 Cu 0.0000 0.0000 0.0000
Cu2 Cu 0.0596 0.5598 0.1225
Cu3 Cu 0.2256 0.2256 0.4546
Cu4 Cu 0.4402 0.9404 0.8775
Cu5 Cu 0.5598 0.0596 0.1225
Cu6 Cu 0.7744 0.7744 0.5454
Cu7 Cu 0.9404 0.4402 0.8775
Sb1 Sb 0.3110 0.3110 0.6203
Sb2 Sb 0.6890 0.6890 0.3797
Pd1 Pd 0.5000 0.5000 0.0000
```



No. 6
ZnCd2Cu2Pd5: computed powder diffractogram (Cu Kα, 1.54184 Å), based on a cell relaxed with GGA-PBE.
Kinematic intensities with the Lorentz-polarization factor, no thermal factor.

Largest 8 diffraction maxima, in order of falling intensity, 5° ≤ 2θ ≤ 70°:
2θ = 38.89°, intensity 1000; 2θ = 40.12°, intensity 352; 2θ = 42.54°, intensity 306; 2θ = 48.17°, intensity 240; 2θ = 32.06°, intensity 186; 2θ = 64.43°, intensity 169; 2θ = 43.68°, intensity 134; 2θ = 41.33°, intensity 107

Structural model:
```
data_ZnCd2Cu2Pd5
_chemical_formula_sum 'Zn2 Cd4 Cu4 Pd10'
_space_group_name_H-M_alt 'P 1'
_space_group_IT_number 1
_space_group_name_Hall 'P 1'
_cell_length_a 9.2674
_cell_length_b 9.2674
_cell_length_c 3.7781
_cell_angle_alpha 90.00
_cell_angle_beta 90.00
_cell_angle_gamma 90.00
loop_
_atom_site_label
_atom_site_type_symbol
_atom_site_fract_x
_atom_site_fract_y
_atom_site_fract_z
Zn1 Zn 0.0000 0.0000 0.0000
Zn2 Zn 0.5000 0.5000 0.0000
Cd1 Cd 0.1694 0.3306 0.0000
Cd2 Cd 0.3306 0.8306 0.0000
Cd3 Cd 0.6694 0.1694 0.0000
Cd4 Cd 0.8306 0.6694 0.0000
Cu1 Cu 0.1279 0.6279 0.0000
Cu2 Cu 0.3721 0.1279 0.0000
Cu3 Cu 0.6279 0.8721 0.0000
Cu4 Cu 0.8721 0.3721 0.0000
Pd1 Pd 0.0000 0.5000 0.5000
Pd2 Pd 0.0787 0.8063 0.5000
Pd3 Pd 0.1937 0.0787 0.5000
Pd4 Pd 0.3063 0.5787 0.5000
Pd5 Pd 0.4213 0.3063 0.5000
Pd6 Pd 0.5000 0.0000 0.5000
Pd7 Pd 0.5787 0.6937 0.5000
Pd8 Pd 0.6937 0.4213 0.5000
Pd9 Pd 0.8063 0.9213 0.5000
Pd10 Pd 0.9213 0.1937 0.5000
```



No. 7
Pm2Cd5Cu: computed powder diffractogram (Cu Kα, 1.54184 Å), based on a cell relaxed with GGA-PBE.
Kinematic intensities with the Lorentz-polarization factor, no thermal factor.

Largest 8 diffraction maxima, in order of falling intensity, 5° ≤ 2θ ≤ 70°:
2θ = 29.17°, intensity 1000; 2θ = 38.29°, intensity 956; 2θ = 37.61°, intensity 333; 2θ = 35.33°, intensity 196; 2θ = 48.79°, intensity 158; 2θ = 63.75°, intensity 138; 2θ = 54.75°, intensity 110; 2θ = 69.15°, intensity 106

Structural model:
```
data_Pm2Cd5Cu
_chemical_formula_sum 'Pm2 Cd5 Cu1'
_space_group_name_H-M_alt 'P 1'
_space_group_IT_number 1
_space_group_name_Hall 'P 1'
_cell_length_a 4.6978
_cell_length_b 4.6978
_cell_length_c 11.1746
_cell_angle_alpha 102.22
_cell_angle_beta 102.22
_cell_angle_gamma 60.17
loop_
_atom_site_label
_atom_site_type_symbol
_atom_site_fract_x
_atom_site_fract_y
_atom_site_fract_z
Pm1 Pm 0.0873 0.0873 0.2597
Pm2 Pm 0.9127 0.9127 0.7403
Cd1 Cd 0.1957 0.1957 0.5885
Cd2 Cd 0.3541 0.3541 0.0613
Cd3 Cd 0.5000 0.5000 0.5000
Cd4 Cd 0.6459 0.6459 0.9387
Cd5 Cd 0.8043 0.8043 0.4115
Cu1 Cu 0.0000 0.0000 0.0000
```



No. 8
Pm2Cd3Cu: computed powder diffractogram (Cu Kα, 1.54184 Å), based on a cell relaxed with GGA-PBE.
Kinematic intensities with the Lorentz-polarization factor, no thermal factor.

Largest 8 diffraction maxima, in order of falling intensity, 5° ≤ 2θ ≤ 70°:
2θ = 33.33°, intensity 1000; 2θ = 36.55°, intensity 757; 2θ = 50.29°, intensity 294; 2θ = 65.90°, intensity 253; 2θ = 63.72°, intensity 171; 2θ = 63.83°, intensity 100; 2θ = 65.98°, intensity 89; 2θ = 52.83°, intensity 88

Structural model:
```
data_Pm2Cd3Cu
_chemical_formula_sum 'Pm2 Cd3 Cu1'
_space_group_name_H-M_alt 'P 1'
_space_group_IT_number 1
_space_group_name_Hall 'P 1'
_cell_length_a 3.4661
_cell_length_b 4.9101
_cell_length_c 8.5292
_cell_angle_alpha 90.00
_cell_angle_beta 90.00
_cell_angle_gamma 90.00
loop_
_atom_site_label
_atom_site_type_symbol
_atom_site_fract_x
_atom_site_fract_y
_atom_site_fract_z
Pm1 Pm 0.0000 0.0000 0.0000
Pm2 Pm 0.0000 0.5000 0.4656
Cd1 Cd 0.5000 0.0000 0.6370
Cd2 Cd 0.5000 0.5000 0.1523
Cd3 Cd 0.5000 0.5000 0.8117
Cu1 Cu 0.5000 0.0000 0.3122
```



No. 9
Pm2Cd2Cu3: computed powder diffractogram (Cu Kα, 1.54184 Å), based on a cell relaxed with GGA-PBE.
Kinematic intensities with the Lorentz-polarization factor, no thermal factor.

Largest 8 diffraction maxima, in order of falling intensity, 5° ≤ 2θ ≤ 70°:
2θ = 34.07°, intensity 1000; 2θ = 35.96°, intensity 616; 2θ = 33.60°, intensity 602; 2θ = 41.12°, intensity 462; 2θ = 29.58°, intensity 320; 2θ = 40.65°, intensity 300; 2θ = 34.64°, intensity 231; 2θ = 36.43°, intensity 195

Structural model:
```
data_Pm2Cd2Cu3
_chemical_formula_sum 'Pm2 Cd2 Cu3'
_space_group_name_H-M_alt 'P 1'
_space_group_IT_number 1
_space_group_name_Hall 'P 1'
_cell_length_a 5.9891
_cell_length_b 5.9891
_cell_length_c 6.8240
_cell_angle_alpha 115.65
_cell_angle_beta 115.65
_cell_angle_gamma 43.00
loop_
_atom_site_label
_atom_site_type_symbol
_atom_site_fract_x
_atom_site_fract_y
_atom_site_fract_z
Pm1 Pm 0.1434 0.1434 0.2649
Pm2 Pm 0.8566 0.8566 0.7351
Cd1 Cd 0.1545 0.1545 0.7630
Cd2 Cd 0.8455 0.8455 0.2370
Cu1 Cu 0.4266 0.4266 0.0911
Cu2 Cu 0.5000 0.5000 0.5000
Cu3 Cu 0.5734 0.5734 0.9089
```



No. 10
PmCd10Cu2: computed powder diffractogram (Cu Kα, 1.54184 Å), based on a cell relaxed with GGA-PBE.
Kinematic intensities with the Lorentz-polarization factor, no thermal factor.

Largest 8 diffraction maxima, in order of falling intensity, 5° ≤ 2θ ≤ 70°:
2θ = 36.39°, intensity 1000; 2θ = 35.91°, intensity 912; 2θ = 37.37°, intensity 902; 2θ = 31.39°, intensity 828; 2θ = 36.16°, intensity 723; 2θ = 41.58°, intensity 525; 2θ = 65.50°, intensity 414; 2θ = 41.72°, intensity 376

Structural model:
```
data_PmCd10Cu2
_chemical_formula_sum 'Pm1 Cd10 Cu2'
_space_group_name_H-M_alt 'P 1'
_space_group_IT_number 1
_space_group_name_Hall 'P 1'
_cell_length_a 10.0041
_cell_length_b 7.6150
_cell_length_c 7.5606
_cell_angle_alpha 82.48
_cell_angle_beta 48.99
_cell_angle_gamma 48.53
loop_
_atom_site_label
_atom_site_type_symbol
_atom_site_fract_x
_atom_site_fract_y
_atom_site_fract_z
Pm1 Pm 0.0000 0.0000 0.0000
Cd1 Cd 0.0000 0.5000 0.0000
Cd2 Cd 0.0170 0.6548 0.3452
Cd3 Cd 0.2875 0.5105 0.4895
Cd4 Cd 0.3452 0.9830 0.0170
Cd5 Cd 0.4895 0.7125 0.2875
Cd6 Cd 0.5000 0.0000 0.5000
Cd7 Cd 0.5105 0.2875 0.7125
Cd8 Cd 0.6548 0.0170 0.9830
Cd9 Cd 0.7125 0.4895 0.5105
Cd10 Cd 0.9830 0.3452 0.6548
Cu1 Cu 0.0000 0.0000 0.5000
Cu2 Cu 0.5000 0.5000 0.0000
```



No. 11
Pm3Cd2Cu: computed powder diffractogram (Cu Kα, 1.54184 Å), based on a cell relaxed with GGA-PBE.
Kinematic intensities with the Lorentz-polarization factor, no thermal factor.

Largest 8 diffraction maxima, in order of falling intensity, 5° ≤ 2θ ≤ 70°:
2θ = 33.64°, intensity 1000; 2θ = 34.14°, intensity 490; 2θ = 60.80°, intensity 343; 2θ = 49.06°, intensity 171; 2θ = 59.85°, intensity 170; 2θ = 47.57°, intensity 87; 2θ = 23.96°, intensity 44; 2θ = 26.68°, intensity 29

Structural model:
```
data_Pm3Cd2Cu
_chemical_formula_sum 'Pm6 Cd4 Cu2'
_space_group_name_H-M_alt 'P 1'
_space_group_IT_number 1
_space_group_name_Hall 'P 1'
_cell_length_a 8.3111
_cell_length_b 8.3111
_cell_length_c 7.6455
_cell_angle_alpha 90.00
_cell_angle_beta 90.00
_cell_angle_gamma 143.20
loop_
_atom_site_label
_atom_site_type_symbol
_atom_site_fract_x
_atom_site_fract_y
_atom_site_fract_z
Pm1 Pm 0.0000 0.0000 0.2398
Pm2 Pm 0.0000 0.0000 0.7602
Pm3 Pm 0.3277 0.6723 0.2306
Pm4 Pm 0.3277 0.6723 0.7694
Pm5 Pm 0.6723 0.3277 0.2306
Pm6 Pm 0.6723 0.3277 0.7694
Cd1 Cd 0.1656 0.8344 0.5000
Cd2 Cd 0.5000 0.5000 0.0000
Cd3 Cd 0.5000 0.5000 0.5000
Cd4 Cd 0.8344 0.1656 0.5000
Cu1 Cu 0.1574 0.8426 0.0000
Cu2 Cu 0.8426 0.1574 0.0000
```



No. 12
PmCd4Cu2: computed powder diffractogram (Cu Kα, 1.54184 Å), based on a cell relaxed with GGA-PBE.
Kinematic intensities with the Lorentz-polarization factor, no thermal factor.

Largest 8 diffraction maxima, in order of falling intensity, 5° ≤ 2θ ≤ 70°:
2θ = 34.01°, intensity 1000; 2θ = 41.99°, intensity 196; 2θ = 42.60°, intensity 187; 2θ = 33.24°, intensity 135; 2θ = 61.35°, intensity 130; 2θ = 40.87°, intensity 122; 2θ = 59.89°, intensity 101; 2θ = 54.57°, intensity 64

Structural model:
```
data_PmCd4Cu2
_chemical_formula_sum 'Pm1 Cd4 Cu2'
_space_group_name_H-M_alt 'P 1'
_space_group_IT_number 1
_space_group_name_Hall 'P 1'
_cell_length_a 8.3663
_cell_length_b 8.3663
_cell_length_c 4.2444
_cell_angle_alpha 90.00
_cell_angle_beta 90.00
_cell_angle_gamma 150.19
loop_
_atom_site_label
_atom_site_type_symbol
_atom_site_fract_x
_atom_site_fract_y
_atom_site_fract_z
Pm1 Pm 0.0000 0.0000 0.0000
Cd1 Cd 0.1754 0.8246 0.5000
Cd2 Cd 0.3224 0.6776 0.0000
Cd3 Cd 0.6776 0.3224 0.0000
Cd4 Cd 0.8246 0.1754 0.5000
Cu1 Cu 0.4272 0.5728 0.5000
Cu2 Cu 0.5728 0.4272 0.5000
```